(1)
Theoretical X-ray diffraction stick pattern of Li3TiV2O6 for copper Kα, from the PBE+U geometry in the Materials Project.

Structural model:
```
data_Li3TiV2O6
_chemical_formula_sum 'Li6 Ti2 V4 O12'
_cell_length_a 5.9731
_cell_length_b 6.6617
_cell_length_c 6.7318
_cell_angle_alpha 97.11
_cell_angle_beta 115.77
_cell_angle_gamma 102.95
_symmetry_space_group_name_H-M 'P 1'
_symmetry_Int_Tables_number 1
loop_
_symmetry_equiv_pos_as_xyz
'x,y,z'
loop_
_atom_site_label
_atom_site_fract_x
_atom_site_fract_y
_atom_site_fract_z
Li1 0.0000 0.0000 0.0000
Li2 0.0004 0.3260 0.3405
Li3 0.4950 0.6605 0.6628
Li4 0.4996 0.0002 0.0002
Li5 0.5003 0.3259 0.3406
Li6 0.9937 0.6608 0.6621
Ti1 0.2426 0.6548 0.1590
Ti2 0.7431 0.6550 0.1600
V1 0.2484 0.3282 0.8356
V2 0.2508 0.0037 0.5084
V3 0.7487 0.3279 0.8354
V4 0.7508 0.0040 0.5085
O1 0.1102 0.6706 0.3927
O2 0.1224 0.9928 0.7409
O3 0.1308 0.3465 0.0927
O4 0.3656 0.9761 0.2612
O5 0.3730 0.3221 0.5862
O6 0.3859 0.6646 0.9403
O7 0.6105 0.6706 0.3928
O8 0.6223 0.9930 0.7408
O9 0.6309 0.3467 0.0924
O10 0.8660 0.9764 0.2613
O11 0.8729 0.3225 0.5858
O12 0.8855 0.6642 0.9400
```

Main lines, by intensity (2θ from 5° to 70°):
| hkl | 2θ (°) | I (rel.) |
| --- | --- | --- |
| 0 1 -1 | 17.90 | 100 |
| 2 -1 1 | 42.28 | 31 |
| 2 0 -3 | 42.72 | 30 |
| 0 3 0 | 43.20 | 29 |
| 2 0 0 | 35.11 | 14 |
| 0 2 1 | 35.66 | 13 |
| -2 1 2 | 35.41 | 13 |
| 2 -3 0 | 46.79 | 9 |

(2)
Theoretical X-ray diffraction stick pattern of MgFe4P4O16 for copper Kα, from the PBE+U geometry in the Materials Project.

Structural model:
```
data_MgFe4P4O16
_chemical_formula_sum 'Mg1 Fe4 P4 O16'
_cell_length_a 5.1644
_cell_length_b 7.1392
_cell_length_c 10.3579
_cell_angle_alpha 88.76
_cell_angle_beta 87.21
_cell_angle_gamma 89.69
_symmetry_space_group_name_H-M 'P 1'
_symmetry_Int_Tables_number 1
loop_
_symmetry_equiv_pos_as_xyz
'x,y,z'
loop_
_atom_site_label
_atom_site_fract_x
_atom_site_fract_y
_atom_site_fract_z
Mg1 0.0000 0.0000 0.0000
Fe1 0.1025 0.5380 0.4976
Fe2 0.4913 0.0138 0.2125
Fe3 0.6159 0.0226 0.6755
Fe4 0.9802 0.4978 0.0046
P1 0.1127 0.7827 0.7495
P2 0.4993 0.2508 0.9363
P3 0.6115 0.2880 0.4306
P4 0.9844 0.7490 0.2407
O1 0.0299 0.6111 0.6743
O2 0.0471 0.7558 0.8979
O3 0.0537 0.7469 0.3859
O4 0.0797 0.5678 0.1777
O5 0.1266 0.9240 0.1719
O6 0.1997 0.2440 0.9729
O7 0.4074 0.8148 0.7260
O8 0.4462 0.4531 0.4843
O9 0.5365 0.2168 0.7892
O10 0.5429 0.1032 0.5086
O11 0.5673 0.2540 0.2887
O12 0.6136 0.4392 0.9679
O13 0.6301 0.0849 0.0121
O14 0.6935 0.7805 0.2245
O15 0.8982 0.3345 0.4547
O16 0.9676 0.9638 0.7071
```

Main lines, by intensity (2θ from 5° to 70°):
| hkl | 2θ (°) | I (rel.) |
| --- | --- | --- |
| 1 -1 0 | 21.25 | 100 |
| 2 0 0 | 34.74 | 51 |
| 0 1 2 | 21.00 | 48 |
| 0 1 -2 | 21.43 | 47 |
| 0 2 -2 | 30.74 | 11 |
| 0 2 2 | 30.12 | 10 |
| 0 4 0 | 51.20 | 9 |
| 1 -2 2 | 35.06 | 8 |

(3)
Theoretical X-ray diffraction stick pattern of Ba6Y3Co3Cu6O22 for copper Kα, from the PBE+U geometry in the Materials Project.

Structural model:
```
data_Ba6Y3Co3Cu6O22
_chemical_formula_sum 'Ba6 Y3 Co3 Cu6 O22'
_cell_length_a 3.8946
_cell_length_b 11.7925
_cell_length_c 12.3904
_cell_angle_alpha 71.54
_cell_angle_beta 89.94
_cell_angle_gamma 89.96
_symmetry_space_group_name_H-M 'P -1'
_symmetry_Int_Tables_number 2
loop_
_symmetry_equiv_pos_as_xyz
'x,y,z'
'-x,-y,-z'
loop_
_atom_site_label
_atom_site_fract_x
_atom_site_fract_y
_atom_site_fract_z
Ba1 0.9996 0.0610 0.3172
Ba2 0.0048 0.6098 0.6815
Ba3 0.0045 0.7310 0.3185
Y1 0.9996 0.1680 0.9988
Y2 0.0000 0.5000 0.0000
Co1 0.4920 0.1821 0.5000
Co2 0.5000 0.5000 0.5000
Cu1 0.4992 0.0460 0.8595
Cu2 0.4991 0.2860 0.1407
Cu3 0.4998 0.3824 0.8533
O1 0.9999 0.3736 0.8799
O2 0.0008 0.7064 0.8791
O3 0.0006 0.9593 0.1206
O4 0.0074 0.8457 0.5000
O5 0.4718 0.3453 0.4993
O6 0.4960 0.2082 0.3473
O7 0.4969 0.1067 0.6526
O8 0.4989 0.2064 0.8764
O9 0.4993 0.4470 0.6576
O10 0.4991 0.4579 0.1223
O11 0.4997 0.1266 0.1199
```

Main lines, by intensity (2θ from 5° to 70°):
| hkl | 2θ (°) | I (rel.) |
| --- | --- | --- |
| 1 3 1 | 32.29 | 100 |
| 1 0 3 | 32.40 | 100 |
| -2 3 4 | 57.85 | 25 |
| 1 6 5 | 57.56 | 24 |
| 1 3 7 | 57.66 | 22 |
| 2 0 0 | 46.64 | 21 |
| 0 6 2 | 46.19 | 21 |
| -1 3 4 | 39.89 | 19 |

(4)
Theoretical X-ray diffraction stick pattern of LiVF4 for copper Kα, from the PBE+U geometry in the Materials Project.

Structural model:
```
data_LiVF4
_chemical_formula_sum 'Li4 V4 F16'
_cell_length_a 9.9683
_cell_length_b 6.2818
_cell_length_c 4.7522
_cell_angle_alpha 90.00
_cell_angle_beta 90.00
_cell_angle_gamma 90.00
_symmetry_space_group_name_H-M 'P n m a'
_symmetry_Int_Tables_number 62
loop_
_symmetry_equiv_pos_as_xyz
'x,y,z'
'-x,-y,-z'
'-x+1/2,-y,z+1/2'
'x+1/2,y,-z+1/2'
'x+1/2,-y+1/2,-z+1/2'
'-x+1/2,y+1/2,z+1/2'
'-x,y+1/2,-z'
'x,-y+1/2,z'
loop_
_atom_site_label
_atom_site_fract_x
_atom_site_fract_y
_atom_site_fract_z
Li1 0.2161 0.2500 0.0267
V1 0.0000 0.0000 0.5000
F1 0.0785 0.2500 0.7184
F2 0.0908 0.7500 0.6883
F3 0.1504 0.0137 0.2542
```

Main lines, by intensity (2θ from 5° to 70°):
| hkl | 2θ (°) | I (rel.) |
| --- | --- | --- |
| 1 0 1 | 20.71 | 100 |
| 2 0 0 | 17.80 | 55 |
| 2 2 1 | 38.83 | 48 |
| 2 2 2 | 51.60 | 27 |
| 1 2 1 | 35.42 | 24 |
| 3 0 1 | 32.89 | 22 |
| 4 0 2 | 53.27 | 18 |
| 3 2 1 | 44.01 | 15 |

(5)
Theoretical X-ray diffraction stick pattern of MgMn6O8F4 for copper Kα, from the PBE+U geometry in the Materials Project.

Structural model:
```
data_MgMn6O8F4
_chemical_formula_sum 'Mg2 Mn12 O16 F8'
_cell_length_a 8.3818
_cell_length_b 6.5098
_cell_length_c 8.9977
_cell_angle_alpha 90.00
_cell_angle_beta 92.15
_cell_angle_gamma 90.00
_symmetry_space_group_name_H-M 'C 1 m 1'
_symmetry_Int_Tables_number 8
loop_
_symmetry_equiv_pos_as_xyz
'x,y,z'
'x,-y,z'
'x+1/2,y+1/2,z'
'x+1/2,-y+1/2,z'
loop_
_atom_site_label
_atom_site_fract_x
_atom_site_fract_y
_atom_site_fract_z
Mg1 0.0000 0.0000 0.0000
Mn1 0.2039 0.5000 0.8447
Mn2 0.2530 0.5000 0.1929
Mn3 0.2919 0.0000 0.3713
Mn4 0.2978 0.0000 0.6838
Mn5 0.3340 0.0000 0.0068
Mn6 0.3870 0.5000 0.5036
O1 0.1317 0.0000 0.5179
O2 0.1671 0.0000 0.8612
O3 0.3056 0.3030 0.3499
O4 0.3149 0.3101 0.0240
O5 0.4380 0.0000 0.5239
O6 0.4700 0.0000 0.8470
F1 0.1535 0.0000 0.1703
F2 0.3178 0.3206 0.6836
F3 0.4932 0.0000 0.1729
```

Main lines, by intensity (2θ from 5° to 70°):
| hkl | 2θ (°) | I (rel.) |
| --- | --- | --- |
| 2 0 0 | 21.22 | 100 |
| 0 2 0 | 27.40 | 89 |
| 1 1 3 | 34.98 | 35 |
| 1 3 3 | 53.51 | 29 |
| 1 1 -3 | 34.29 | 27 |
| 3 1 -1 | 36.07 | 21 |
| 1 3 -3 | 53.00 | 19 |
| 0 0 6 | 61.93 | 18 |

(6)
Theoretical X-ray diffraction stick pattern of Ba2Fe3O7 for copper Kα, from the PBE+U geometry in the Materials Project.

Structural model:
```
data_Ba2Fe3O7
_chemical_formula_sum 'Ba2 Fe3 O7'
_cell_length_a 3.8126
_cell_length_b 12.6832
_cell_length_c 3.7688
_cell_angle_alpha 90.00
_cell_angle_beta 90.00
_cell_angle_gamma 90.00
_symmetry_space_group_name_H-M 'P m m 2'
_symmetry_Int_Tables_number 25
loop_
_symmetry_equiv_pos_as_xyz
'x,y,z'
'-x,-y,z'
'-x,y,z'
'x,-y,z'
loop_
_atom_site_label
_atom_site_fract_x
_atom_site_fract_y
_atom_site_fract_z
Ba1 0.0000 0.2003 0.0000
Fe1 0.5000 0.0000 0.4956
Fe2 0.5000 0.3877 0.4961
O1 0.0000 0.0000 0.4808
O2 0.0000 0.3648 0.4961
O3 0.5000 0.1442 0.5030
O4 0.5000 0.3620 0.9962
```

Main lines, by intensity (2θ from 5° to 70°):
| hkl | 2θ (°) | I (rel.) |
| --- | --- | --- |
| 0 2 1 | 27.53 | 100 |
| 1 0 1 | 33.43 | 100 |
| 1 2 0 | 27.29 | 78 |
| 0 3 1 | 31.81 | 76 |
| 1 5 1 | 49.47 | 63 |
| 1 3 0 | 31.60 | 62 |
| 0 5 0 | 35.39 | 62 |
| 0 2 0 | 13.96 | 48 |